Structure and theoretical X-ray diffraction stick pattern of ZrCo5W (a cell relaxed with GGA-PBE; λ = 1.5418 Å (Cu Kα)).

Cell and atoms:
```
data_ZrCo5W
_space_group_name_H-M_alt 'P n m a'
_space_group_IT_number 62
_space_group_name_Hall '-P 2ac 2n'
_cell_length_a 7.7730
_cell_length_b 4.7122
_cell_length_c 9.8007
_cell_angle_alpha 90.00
_cell_angle_beta 90.00
_cell_angle_gamma 90.00
loop_
_atom_site_label
_atom_site_fract_x
_atom_site_fract_y
_atom_site_fract_z
Zr1 0.2450 0.2500 0.0575
Co1 0.0460 0.2500 0.5865
Co2 0.0652 0.5036 0.8063
Co3 0.0982 0.7500 0.0191
Co4 0.1908 0.7500 0.2526
W1 0.1367 0.2500 0.3536
```

Peak list (8 most intense, 2θ from 10° to 90°, by angle)
two_theta  I (rel.)
35.4  27.8
38.2  34.3
38.5  35.9
40.8  100.0
44.0  26.5
46.0  48.4
47.9  59.3
49.1  39.9